For ZrSiO4, a cell relaxed with PBE gives the calculated X-ray powder pattern in this record (Cu Kα).
Lines closer than 0.1° are merged.

Atomic structure:
```
12
Lattice="-2.393 2.393 5.329 2.393 -2.393 5.329 2.393 2.393 -5.329" Properties=species:S:1:pos:R:3 pbc="T T T"
Zr 0.000 1.197 1.332
Zr 2.393 1.197 3.997
Si 2.393 1.197 -1.332
Si 0.000 1.197 6.662
O 1.156 0.444 -0.509
O 1.640 0.040 2.156
O 1.640 2.433 -2.156
O 1.237 -0.444 4.821
O 1.156 2.837 0.509
O 0.753 -0.040 7.485
O 0.753 2.353 3.173
O 1.237 1.949 5.838
```

The 6 most intense peaks (2θ from 10° to 90°), sorted by position:
20.3°, d 4.366, I = 31.9
31.3°, d 2.857, I = 100.0
43.1°, d 2.099, I = 17.4
51.3°, d 1.780, I = 28.7
58.7°, d 1.573, I = 15.5
63.9°, d 1.456, I = 27.9

For Al2Ni3, a cell relaxed with PBE gives the calculated X-ray powder pattern in this record (Cu Kα).
Lines closer than 0.1° are merged.

Atomic structure:
```
10
Lattice="2.806 0.000 0.000 0.000 2.806 0.000 0.000 0.000 14.962" Properties=species:S:1:pos:R:3 pbc="T T T"
Al 0.000 0.000 1.497
Al 0.000 0.000 4.554
Al 0.000 0.000 10.408
Al 0.000 0.000 13.465
Ni 0.000 0.000 7.481
Ni 1.403 1.403 0.000
Ni 1.403 1.403 3.001
Ni 1.403 1.403 5.977
Ni 1.403 1.403 8.984
Ni 1.403 1.403 11.961
```

The 6 most intense peaks (2θ from 10° to 90°), sorted by position:
31.9°, d 2.806, I = 12.0
44.3°, d 2.047, I = 100.0
45.7°, d 1.984, I = 45.3
66.7°, d 1.403, I = 13.7
80.4°, d 1.195, I = 15.4
83.6°, d 1.157, I = 28.0

For Li2AgF5, a cell relaxed with PBE gives the calculated X-ray powder pattern in this record (Cu Kα).
Lines closer than 0.1° are merged.

Atomic structure:
```
16
Lattice="2.236 -5.132 0.000 2.236 5.132 0.000 0.000 0.000 9.769" Properties=species:S:1:pos:R:3 pbc="T T T"
Li 2.236 3.700 5.662
Li 2.236 3.700 8.992
Li 2.236 -3.700 0.777
Li 2.236 -3.700 4.107
Ag 2.236 3.174 2.442
Ag 2.236 -3.174 7.327
F 2.236 4.550 1.033
F 2.236 4.550 3.852
F 2.236 2.881 7.327
F 2.236 1.894 0.880
F 2.236 1.894 4.005
F 2.236 -1.894 5.765
F 2.236 -1.894 8.889
F 2.236 -2.881 2.442
F 2.236 -4.550 5.917
F 2.236 -4.550 8.737
```

The 6 most intense peaks (2θ from 10° to 90°), sorted by position:
17.3°, d 5.132, I = 44.0
18.2°, d 4.885, I = 37.8
21.7°, d 4.101, I = 27.9
23.5°, d 3.781, I = 100.0
25.2°, d 3.538, I = 32.7
37.9°, d 2.375, I = 38.1

For Eu2CuGe4O12, a cell relaxed with PBE gives the calculated X-ray powder pattern in this record (Cu Kα).
Lines closer than 0.1° are merged.

Atomic structure:
```
19
Lattice="4.965 0.000 0.000 1.752 7.203 0.000 0.553 3.336 7.483" Properties=species:S:1:pos:R:3 pbc="T T T"
Eu 0.920 3.456 3.409
Eu 6.349 7.083 4.074
Cu 0.876 3.601 0.000
Ge 4.092 9.014 5.984
Ge 3.571 5.570 1.604
Ge 3.699 4.969 5.879
Ge 3.178 1.524 1.499
O 3.089 8.665 4.604
O 2.384 5.342 2.862
O 2.528 6.283 6.042
O 1.817 2.644 1.380
O 2.693 5.776 0.060
O 2.791 3.479 5.434
O 4.478 7.059 2.049
O 4.577 4.762 7.423
O 5.453 7.895 6.103
O 4.741 4.255 1.441
O 4.885 5.196 4.621
O 4.180 1.873 2.879
```

The 6 most intense peaks (2θ from 10° to 90°), sorted by position:
21.6°, d 4.117, I = 33.0
25.2°, d 3.533, I = 43.2
27.2°, d 3.277, I = 100.0
29.7°, d 3.005, I = 44.9
30.7°, d 2.909, I = 59.1
33.9°, d 2.641, I = 29.6